1.
This entry pairs a crystal structure of CeYTeIr with its calculated powder diffraction line list. Radiation: Cu Kα X-rays. Structure: a cell relaxed with PBE.
Lines closer than 0.1° are merged.

```
data_CeYTeIr
_symmetry_space_group_name_H-M 'R 3 m'
_symmetry_Int_Tables_number 160
_symmetry_space_group_name_Hall 'R 3 -2"'
_cell_length_a 4.1349
_cell_length_b 4.1349
_cell_length_c 22.2745
_cell_angle_alpha 90.00
_cell_angle_beta 90.00
_cell_angle_gamma 120.00
loop_
_atom_site_label
_atom_site_type_symbol
_atom_site_fract_x
_atom_site_fract_y
_atom_site_fract_z
Ce1 Ce 0.0000 0.0000 0.0000
Y1 Y 0.0000 0.0000 0.1963
Te1 Te 0.0000 0.0000 0.4341
Ir1 Ir 0.0000 0.0000 0.6008
```

Main lines, low angle first (2θ from 5° to 70°):
| two_theta | Rel. int. |
| --- | --- |
| 11.92 | 26.0 |
| 26.14 | 45.6 |
| 32.07 | 100.0 |
| 37.82 | 36.8 |
| 41.06 | 8.1 |
| 43.79 | 52.2 |
| 48.11 | 17.7 |
| 55.30 | 21.3 |
| 59.21 | 10.0 |
| 67.86 | 16.0 |


2.
This entry pairs a crystal structure of NdLu3 with its calculated powder diffraction line list. Radiation: Cu Kα X-rays. Structure: a cell relaxed with PBE.
Lines closer than 0.1° are merged.

```
data_NdLu3
_symmetry_space_group_name_H-M 'P m m 2'
_symmetry_Int_Tables_number 25
_symmetry_space_group_name_Hall 'P 2 -2'
_cell_length_a 3.585
_cell_length_b 5.584
_cell_length_c 6.199
_cell_angle_alpha 90.00
_cell_angle_beta 90.00
_cell_angle_gamma 90.00
loop_
_atom_site_label
_atom_site_type_symbol
_atom_site_fract_x
_atom_site_fract_y
_atom_site_fract_z
Nd1 Nd 0.000 0.000 0.000
Lu1 Lu 0.000 0.500 0.663
Lu2 Lu 0.500 0.000 0.497
Lu3 Lu 0.500 0.500 0.168
```

Main lines, low angle first (2θ from 5° to 70°):
| two_theta | Rel. int. |
| --- | --- |
| 28.78 | 24.0 |
| 32.05 | 24.0 |
| 33.03 | 100.0 |
| 43.61 | 15.6 |
| 50.94 | 6.6 |
| 51.02 | 13.2 |
| 57.76 | 20.5 |
| 61.51 | 22.6 |
| 62.11 | 16.4 |
| 69.30 | 4.0 |


3.
This entry pairs a crystal structure of Tb2PmY2Er with its calculated powder diffraction line list. Radiation: Cu Kα X-rays. Structure: a cell relaxed with PBE.
Lines closer than 0.1° are merged.

```
data_Tb2PmY2Er
_symmetry_space_group_name_H-M 'P n n m'
_symmetry_Int_Tables_number 58
_symmetry_space_group_name_Hall '-P 2 2n'
_cell_length_a 6.631
_cell_length_b 17.673
_cell_length_c 3.388
_cell_angle_alpha 90.00
_cell_angle_beta 90.00
_cell_angle_gamma 90.00
loop_
_atom_site_label
_atom_site_type_symbol
_atom_site_fract_x
_atom_site_fract_y
_atom_site_fract_z
Tb1 Tb 0.236 0.178 0.000
Pm1 Pm 0.000 0.000 0.000
Y1 Y 0.231 0.349 0.500
Er1 Er 0.000 0.500 0.000
```

Main lines, low angle first (2θ from 5° to 70°):
| two_theta | Rel. int. |
| --- | --- |
| 28.76 | 68.7 |
| 29.61 | 20.5 |
| 30.39 | 100.0 |
| 31.33 | 31.6 |
| 33.80 | 38.6 |
| 36.05 | 24.9 |
| 41.05 | 35.1 |
| 42.91 | 15.1 |
| 49.58 | 16.4 |
| 62.45 | 15.3 |


4.
This entry pairs a crystal structure of Ce2FeCo12B3 with its calculated powder diffraction line list. Radiation: Cu Kα X-rays. Structure: a cell relaxed with PBE.
Lines closer than 0.1° are merged.

```
data_Ce2FeCo12B3
_symmetry_space_group_name_H-M 'R -3 m'
_symmetry_Int_Tables_number 166
_symmetry_space_group_name_Hall '-R 3 2"'
_cell_length_a 7.0659
_cell_length_b 7.0659
_cell_length_c 15.3261
_cell_angle_alpha 90.00
_cell_angle_beta 90.00
_cell_angle_gamma 120.00
loop_
_atom_site_label
_atom_site_type_symbol
_atom_site_fract_x
_atom_site_fract_y
_atom_site_fract_z
Ce1 Ce 0.0000 0.0000 0.1009
Fe1 Fe 0.0000 0.0000 0.5000
Co1 Co 0.0540 0.5270 0.8737
Co2 Co 0.0736 0.5368 0.3009
B1 B 0.0000 0.5000 0.0000
```

Main lines, low angle first (2θ from 5° to 70°):
| two_theta | Rel. int. |
| --- | --- |
| 25.21 | 15.6 |
| 27.47 | 17.7 |
| 29.78 | 38.0 |
| 37.62 | 31.6 |
| 40.75 | 69.0 |
| 41.71 | 100.0 |
| 43.92 | 26.5 |
| 48.03 | 25.2 |
| 51.75 | 45.7 |
| 68.51 | 23.6 |


5.
This entry pairs a crystal structure of PrNd2Ru with its calculated powder diffraction line list. Radiation: Cu Kα X-rays. Structure: a cell relaxed with PBE.
Lines closer than 0.1° are merged.

```
data_PrNd2Ru
_symmetry_space_group_name_H-M 'P n m a'
_symmetry_Int_Tables_number 62
_symmetry_space_group_name_Hall '-P 2ac 2n'
_cell_length_a 7.442
_cell_length_b 9.802
_cell_length_c 6.514
_cell_angle_alpha 90.00
_cell_angle_beta 90.00
_cell_angle_gamma 90.00
loop_
_atom_site_label
_atom_site_type_symbol
_atom_site_fract_x
_atom_site_fract_y
_atom_site_fract_z
Pr1 Pr 0.042 0.250 0.145
Nd1 Nd 0.176 0.068 0.670
Ru1 Ru 0.115 0.750 0.443
```

Main lines, low angle first (2θ from 5° to 70°):
| two_theta | Rel. int. |
| --- | --- |
| 29.10 | 53.7 |
| 29.95 | 45.4 |
| 30.15 | 63.8 |
| 30.61 | 100.0 |
| 31.34 | 97.4 |
| 32.96 | 85.7 |
| 33.21 | 81.4 |
| 36.62 | 55.2 |
| 47.39 | 36.0 |
| 56.31 | 42.0 |


6.
This entry pairs a crystal structure of CsTcH3F with its calculated powder diffraction line list. Radiation: Cu Kα X-rays. Structure: a cell relaxed with PBE.
Lines closer than 0.1° are merged.

```
data_CsTcH3F
_symmetry_space_group_name_H-M 'P 1 m 1'
_symmetry_Int_Tables_number 6
_symmetry_space_group_name_Hall 'P -2y'
_cell_length_a 3.259
_cell_length_b 4.424
_cell_length_c 5.572
_cell_angle_alpha 90.00
_cell_angle_beta 90.09
_cell_angle_gamma 90.00
loop_
_atom_site_label
_atom_site_type_symbol
_atom_site_fract_x
_atom_site_fract_y
_atom_site_fract_z
Cs1 Cs 0.000 0.000 0.000
Tc1 Tc 0.500 0.500 0.482
H1 H 0.000 0.500 0.335
H2 H 0.001 0.500 0.666
H3 H 0.500 0.500 0.187
F1 F 0.500 0.000 0.507
```

Main lines, low angle first (2θ from 5° to 70°):
| two_theta | Rel. int. |
| --- | --- |
| 25.71 | 100.0 |
| 31.81 | 79.4 |
| 32.13 | 38.1 |
| 34.17 | 46.4 |
| 40.79 | 20.7 |
| 47.61 | 36.6 |
| 52.64 | 36.8 |
| 52.85 | 18.0 |
| 57.08 | 14.4 |
| 63.04 | 16.3 |


7.
This entry pairs a crystal structure of Na3Mg2Pb3 with its calculated powder diffraction line list. Radiation: Cu Kα X-rays. Structure: a cell relaxed with PBE.
Lines closer than 0.1° are merged.

```
data_Na3Mg2Pb3
_symmetry_space_group_name_H-M 'P -6 2 m'
_symmetry_Int_Tables_number 189
_symmetry_space_group_name_Hall 'P -6 -2'
_cell_length_a 8.8050
_cell_length_b 8.8050
_cell_length_c 3.3143
_cell_angle_alpha 90.00
_cell_angle_beta 90.00
_cell_angle_gamma 120.00
loop_
_atom_site_label
_atom_site_type_symbol
_atom_site_fract_x
_atom_site_fract_y
_atom_site_fract_z
Na1 Na 0.0000 0.2434 0.0000
Mg1 Mg 0.3333 0.6667 0.0000
Pb1 Pb 0.0000 0.6111 0.5000
```

Main lines, low angle first (2θ from 5° to 70°):
| two_theta | Rel. int. |
| --- | --- |
| 11.60 | 17.1 |
| 20.17 | 100.0 |
| 23.33 | 15.3 |
| 26.90 | 17.0 |
| 31.03 | 28.7 |
| 33.85 | 86.4 |
| 35.31 | 24.9 |
| 35.90 | 22.1 |
| 42.76 | 26.3 |
| 51.24 | 31.7 |


8.
This entry pairs a crystal structure of CrHg2Se with its calculated powder diffraction line list. Radiation: Cu Kα X-rays. Structure: a cell relaxed with PBE.
Lines closer than 0.1° are merged.

```
data_CrHg2Se
_symmetry_space_group_name_H-M 'R 3 m'
_symmetry_Int_Tables_number 160
_symmetry_space_group_name_Hall 'R 3 -2"'
_cell_length_a 3.6098
_cell_length_b 3.6098
_cell_length_c 25.3917
_cell_angle_alpha 90.00
_cell_angle_beta 90.00
_cell_angle_gamma 120.00
loop_
_atom_site_label
_atom_site_type_symbol
_atom_site_fract_x
_atom_site_fract_y
_atom_site_fract_z
Cr1 Cr 0.0000 0.0000 0.0000
Hg1 Hg 0.0000 0.0000 0.5063
Hg2 Hg 0.0000 0.0000 0.7471
Se1 Se 0.0000 0.0000 0.2826
```

Main lines, low angle first (2θ from 5° to 70°):
| two_theta | Rel. int. |
| --- | --- |
| 10.45 | 29.1 |
| 28.77 | 21.8 |
| 31.72 | 18.4 |
| 31.91 | 100.0 |
| 33.67 | 30.2 |
| 40.50 | 40.9 |
| 50.57 | 30.1 |
| 55.47 | 14.2 |
| 60.94 | 17.7 |
| 61.05 | 15.6 |